# Tb2PaC4
Theoretical XRD peak list, Cu Kα (weighted mean of Kα1 and Kα2). Input: a structure optimized by DFT (PBE).
Kinematic intensities with the Lorentz-polarization factor, no thermal factor.

Top 8 peaks for 2θ = 5–70°, low angle first:
3.333 Å, I = 86
3.223 Å, I = 100
2.715 Å, I = 85
2.545 Å, I = 42
2.309 Å, I = 32
2.023 Å, I = 43
1.759 Å, I = 48
1.678 Å, I = 32

Structural model:
abc: 5.445 5.445 4.618
angles: 90.00 90.00 124.27
Sites, in units of the cell vectors:
Tb: 0.174 0.826 0.000
Tb: 0.826 0.174 0.000
Pa: 0.500 0.500 0.500
C: 0.070 0.930 0.500
C: 0.423 0.577 0.000
C: 0.577 0.423 0.000
C: 0.930 0.070 0.500